For Na4ScTiSi2PO12, the GGA-PBE geometry in the Materials Project gives the calculated powder X-ray diffraction pattern in this record (λ = 1.5418 Å (Cu Kα)).

Most intense lines, 5° ≤ 2θ ≤ 70°, in order of rising 2θ:
d/Å	intensity
4.538	69
3.876	46
3.680	28
2.951	59
2.873	71
2.861	60
2.849	63
2.626	100
2.175	31
1.719	26

Structural model:
```
data_Na4ScTiSi2PO12
_cell_length_a 15.676
_cell_length_b 9.100
_cell_length_c 8.998
_cell_angle_alpha 90.00
_cell_angle_beta 124.74
_cell_angle_gamma 90.00
_space_group_name_H-M_alt 'C 1 c 1'
_space_group_IT_number 9
loop_
_space_group_symop_operation_xyz
'x,y,z'
'x,-y,z+1/2'
'x+1/2,y+1/2,z'
'x+1/2,-y+1/2,z+1/2'
loop_
_atom_site_label
_atom_site_type_symbol
_atom_site_fract_x
_atom_site_fract_y
_atom_site_fract_z
Na1 Na 0.000 0.058 0.000
Na2 Na 0.069 0.244 0.388
Na3 Na 0.135 0.428 0.767
Na4 Na 0.315 0.121 0.639
Sc1 Sc 0.418 0.255 0.031
Ti1 Ti 0.216 0.249 0.234
Si1 Si 0.173 0.100 0.840
Si2 Si 0.316 0.455 0.629
P1 P 0.465 0.108 0.428
O1 O 0.056 0.313 0.101
O2 O 0.075 0.176 0.659
O3 O 0.169 0.081 0.325
O4 O 0.178 0.137 0.029
O5 O 0.231 0.358 0.448
O6 O 0.245 0.429 0.162
O7 O 0.275 0.170 0.867
O8 O 0.363 0.178 0.392
O9 O 0.393 0.345 0.796
O10 O 0.394 0.446 0.107
O11 O 0.469 0.131 0.264
O12 O 0.472 0.059 0.962
```